Entry 1:
ErUTe4: theoretical powder diffraction line list (copper Kα), based on a crystal structure in the Materials Project, relaxed with PBE.
Kinematic intensities with the Lorentz-polarization factor, no thermal factor.

Atomic structure:
```
ErUTe4
1.0
4.1920 0.0000 0.0000
0.0000 6.0975 0.0000
0.0000 0.0000 14.1015
Er U Te
2 2 8
Direct
0.0000 0.0000 0.0000 Er
0.5000 0.5000 0.5000 Er
0.0000 0.0000 0.7245 U
0.5000 0.5000 0.2245 U
0.0000 0.2524 0.3599 Te
0.0000 0.5000 0.0659 Te
0.0000 0.5000 0.6574 Te
0.0000 0.7476 0.3599 Te
0.5000 0.0000 0.1574 Te
0.5000 0.0000 0.5659 Te
0.5000 0.2476 0.8599 Te
0.5000 0.7524 0.8599 Te
```

Largest 12 diffraction maxima, low angle first, 10° ≤ 2θ ≤ 80°:
d 5.597, I 24; d 3.129, I 100; d 2.798, I 34; d 2.560, I 15; d 2.467, I 40; d 2.429, I 56; d 2.306, I 20; d 2.096, I 22; d 1.913, I 16; d 1.678, I 15; d 1.623, I 18; d 1.370, I 17

Entry 2:
ErUTe6: theoretical powder diffraction line list (copper Kα), based on a crystal structure in the Materials Project, relaxed with PBE.
Kinematic intensities with the Lorentz-polarization factor, no thermal factor.

Atomic structure:
```
ErUTe6
1.0
4.3553 0.0000 0.0000
0.0000 4.3625 0.0000
0.0000 0.0000 25.8692
Er U Te
2 2 12
Direct
0.0000 0.0000 0.0000 Er
0.0000 0.5000 0.5000 Er
0.5000 0.0000 0.6618 U
0.5000 0.5000 0.1618 U
0.0000 0.0000 0.1249 Te
0.0000 0.0000 0.4070 Te
0.0000 0.0000 0.7542 Te
0.0000 0.5000 0.2542 Te
0.0000 0.5000 0.6249 Te
0.0000 0.5000 0.9070 Te
0.5000 0.0000 0.2542 Te
0.5000 0.0000 0.5373 Te
0.5000 0.0000 0.9067 Te
0.5000 0.5000 0.0373 Te
0.5000 0.5000 0.4067 Te
0.5000 0.5000 0.7542 Te
```

Largest 12 diffraction maxima, low angle first, 10° ≤ 2θ ≤ 80°:
d 6.467, I 21; d 3.234, I 42; d 3.061, I 37; d 2.902, I 100; d 2.648, I 63; d 2.596, I 21; d 2.400, I 19; d 2.367, I 37; d 2.179, I 62; d 1.809, I 17; d 1.806, I 16; d 1.541, I 21

Entry 3:
ErTh: theoretical powder diffraction line list (copper Kα), based on a crystal structure in the Materials Project, relaxed with PBE.
Kinematic intensities with the Lorentz-polarization factor, no thermal factor.

Atomic structure:
```
ErTh
1.0
3.5392 0.0000 0.0000
-1.7696 3.0651 0.0000
0.0000 0.0000 17.2887
Er Th
3 3
Direct
0.0000 0.0000 0.0000 Er
0.3333 0.6667 0.6667 Er
0.6667 0.3333 0.3333 Er
0.0000 0.0000 0.5000 Th
0.3333 0.6667 0.1667 Th
0.6667 0.3333 0.8333 Th
```

Largest 12 diffraction maxima, low angle first, 10° ≤ 2θ ≤ 80°:
d 5.763, I 3; d 3.018, I 2; d 2.887, I 100; d 2.500, I 51; d 2.294, I 1; d 1.770, I 18; d 1.766, I 18; d 1.508, I 33; d 1.506, I 11; d 1.444, I 10; d 1.441, I 3; d 1.250, I 6